Entry 1:
Starting from DFT lattice parameters and positions (GGA-PBE), the PXRD pattern of Ca5Ir2N6 was simulated for Cu Kα (λ = 1.5418 Å).
Lines closer than 0.1° are merged.

Principal peaks in the range 2θ = 15–90°, sorted by position:
| d/Å | I (rel.) | h k l |
| --- | --- | --- |
| 5.315 | 48 | 1 1 -1 |
| 4.884 | 100 | 2 0 0 |
| 4.392 | 49 | 1 1 -2 |
| 4.345 | 60 | 2 0 -2 |
| 3.829 | 62 | 1 1 2 |
| 2.819 | 66 | 1 1 -4 |
| 2.768 | 53 | 2 2 0 |
| 2.659 | 82 | 2 2 -2 |
| 2.580 | 61 | 0 2 3 |
| 2.170 | 58 | 1 3 -1 |

Structural model:
```
data_Ca5Ir2N6
_cell_length_a 10.0646
_cell_length_b 6.7183
_cell_length_c 12.4544
_cell_angle_alpha 90.00
_cell_angle_beta 103.97
_cell_angle_gamma 90.00
_space_group_name_H-M_alt 'C 1 2/c 1'
_space_group_IT_number 15
loop_
_space_group_symop_operation_xyz
'x,y,z'
'-x,-y,-z'
'-x,y,-z+1/2'
'x,-y,z+1/2'
'x+1/2,y+1/2,z'
'-x+1/2,-y+1/2,-z'
'-x+1/2,y+1/2,-z+1/2'
'x+1/2,-y+1/2,z+1/2'
loop_
_atom_site_label
_atom_site_fract_x
_atom_site_fract_y
_atom_site_fract_z
_atom_site_occupancy
Ca1 0.0000 0.1233 0.2500 1
Ca2 0.0605 0.2427 0.0006 1
Ca3 0.1618 0.3790 0.7234 1
Ir1 0.2316 0.4325 0.4468 1
N1 0.0439 0.4590 0.3726 1
N2 0.1345 0.0402 0.6402 1
N3 0.2088 0.0036 0.4048 1
```



Entry 2:
Starting from DFT lattice parameters and positions (GGA-PBE), the PXRD pattern of Ca7IrN6 was simulated for Cu Kα (λ = 1.5418 Å).
Lines closer than 0.1° are merged.

Principal peaks in the range 2θ = 15–90°, sorted by position:
| d/Å | I (rel.) | h k l |
| --- | --- | --- |
| 5.884 | 30 | 0 2 0 |
| 5.604 | 67 | 1 1 0 |
| 4.242 | 39 | 0 2 2 |
| 4.133 | 97 | 1 1 2 |
| 2.942 | 30 | 0 4 0 |
| 2.826 | 40 | 2 0 2 |
| 2.715 | 100 | 0 2 4 |
| 2.548 | 73 | 2 2 2 |
| 2.038 | 38 | 2 4 2 |
| 1.650 | 29 | 0 6 4 |

Structural model:
```
data_Ca7IrN6
_cell_length_a 6.3731
_cell_length_b 11.7673
_cell_length_c 12.2421
_cell_angle_alpha 90.00
_cell_angle_beta 90.00
_cell_angle_gamma 90.00
_space_group_name_H-M_alt 'I b a m'
_space_group_IT_number 72
_space_group_name_Hall '-I 2 2c'
loop_
_atom_site_label
_atom_site_fract_x
_atom_site_fract_y
_atom_site_fract_z
_atom_site_occupancy
Ca1 0.0000 0.0000 0.2500 1
Ca2 0.1293 0.2798 0.1301 1
Ca3 0.2247 0.0455 0.0000 1
Ir1 0.0000 0.5000 0.2500 1
N1 0.1063 0.1486 0.5000 1
N2 0.1981 0.3816 0.3042 1
```



Entry 3:
Starting from DFT lattice parameters and positions (GGA-PBE), the PXRD pattern of Ca4Pa3IrN8 was simulated for Cu Kα (λ = 1.5418 Å).
Lines closer than 0.1° are merged.

Principal peaks in the range 2θ = 15–90°, sorted by position:
| d/Å | I (rel.) | h k l |
| --- | --- | --- |
| 5.709 | 100 | 2 0 -1 |
| 3.157 | 23 | 2 0 1 |
| 2.888 | 36 | 0 2 1 |
| 2.868 | 33 | 0 0 2 |
| 2.855 | 33 | 4 0 -2 |
| 2.833 | 63 | 2 2 0 |
| 2.668 | 40 | 4 0 0 |
| 2.380 | 59 | 2 2 -2 |
| 1.779 | 23 | 2 2 2 |
| 1.773 | 23 | 6 2 -2 |

Structural model:
```
data_Ca4Pa3IrN8
_cell_length_a 12.6127
_cell_length_b 6.6857
_cell_length_c 6.7808
_cell_angle_alpha 90.00
_cell_angle_beta 122.21
_cell_angle_gamma 90.00
_space_group_name_H-M_alt 'C 1 2/m 1'
_space_group_IT_number 12
loop_
_space_group_symop_operation_xyz
'x,y,z'
'-x,-y,-z'
'-x,y,-z'
'x,-y,z'
'x+1/2,y+1/2,z'
'-x+1/2,-y+1/2,-z'
'-x+1/2,y+1/2,-z'
'x+1/2,-y+1/2,z'
loop_
_atom_site_label
_atom_site_fract_x
_atom_site_fract_y
_atom_site_fract_z
_atom_site_occupancy
Ca1 0.0000 0.0000 0.0000 1
Ca2 0.0000 0.5000 0.0000 1
Ca3 0.2500 0.2500 0.5000 1
Pa1 0.0000 0.0000 0.5000 1
Pa2 0.2500 0.2500 0.0000 1
Ir1 0.0000 0.5000 0.5000 1
N1 0.0223 0.2542 0.7455 1
N2 0.2147 0.0000 0.1774 1
N3 0.2313 0.0000 0.7440 1
```



Entry 4:
Starting from DFT lattice parameters and positions (GGA-PBE), the PXRD pattern of CaPa2IrN5 was simulated for Cu Kα (λ = 1.5418 Å).
Lines closer than 0.1° are merged.

Principal peaks in the range 2θ = 15–90°, sorted by position:
| d/Å | I (rel.) | h k l |
| --- | --- | --- |
| 4.648 | 34 | 1 1 0 |
| 2.967 | 42 | 0 0 4 |
| 2.875 | 100 | 2 0 2 |
| 2.854 | 58 | 2 1 1 |
| 2.360 | 50 | 2 1 3 |
| 2.324 | 20 | 2 2 0 |
| 1.962 | 30 | 3 1 2 |
| 1.847 | 24 | 2 1 5 |
| 1.695 | 22 | 2 0 6 |
| 1.580 | 21 | 4 1 1 |

Structural model:
```
data_CaPa2IrN5
_cell_length_a 6.5735
_cell_length_b 6.5735
_cell_length_c 11.8699
_cell_angle_alpha 90.00
_cell_angle_beta 90.00
_cell_angle_gamma 90.00
_space_group_name_H-M_alt 'I 4/m c m'
_space_group_IT_number 140
_space_group_name_Hall '-I 4 2c'
loop_
_atom_site_label
_atom_site_fract_x
_atom_site_fract_y
_atom_site_fract_z
_atom_site_occupancy
Ca1 0.0000 0.0000 0.2500 1
Pa1 0.1820 0.3180 0.0000 1
Ir1 0.0000 0.5000 0.2500 1
N1 0.0000 0.0000 0.0000 1
N2 0.1363 0.3637 0.3772 1
```